MgRe2W2O12: computed powder diffraction line list (copper Kα), based on a cell relaxed with GGA+U.

Principal peaks in the range 2θ = 10–90°, by angle:
h k l, 2θ (°), intensity
0 0 2, 23.33, 52
1 -1 0, 23.67, 100
0 2 0, 33.49, 86
2 0 0, 33.94, 17
0 2 2, 41.23, 13
2 0 2, 41.60, 13
2 -2 0, 48.44, 20
1 1 4, 53.93, 21
1 -3 0, 54.35, 22
-1 3 2, 59.89, 19

Cell and atoms:
```
data_MgRe2W2O12
_symmetry_space_group_name_H-M 'P 1'
_symmetry_Int_Tables_number 1
_cell_length_a 5.282
_cell_length_b 5.349
_cell_length_c 7.625
_cell_angle_alpha 90.00
_cell_angle_beta 89.88
_cell_angle_gamma 89.99
loop_
_symmetry_equiv_pos_as_xyz
'x,y,z'
loop_
_atom_site_label
_atom_site_type_symbol
_atom_site_fract_x
_atom_site_fract_y
_atom_site_fract_z
Mg1 Mg 0.000 0.000 0.000
Re1 Re 0.005 0.465 0.252
Re2 Re 0.512 0.966 0.747
W1 W 0.011 0.468 0.744
W2 W 0.507 0.963 0.256
O1 O 0.067 0.496 0.496
O2 O 0.191 0.778 0.192
O3 O 0.196 0.782 0.807
O4 O 0.298 0.258 0.226
O5 O 0.308 0.258 0.772
O6 O 0.448 0.957 0.503
O7 O 0.607 0.966 0.000
O8 O 0.711 0.667 0.273
O9 O 0.711 0.673 0.727
O10 O 0.804 0.172 0.285
O11 O 0.806 0.170 0.714
O12 O 0.956 0.412 0.999
```


MgV2Sb2O8: computed powder diffraction line list (copper Kα), based on a cell relaxed with GGA+U.

Principal peaks in the range 2θ = 10–90°, by angle:
h k l, 2θ (°), intensity
1 0 0, 18.15, 30
1 0 -1, 19.48, 30
1 -1 1, 22.58, 100
-1 1 1, 26.53, 91
1 -2 1, 29.80, 65
1 1 0, 33.31, 71
1 1 -2, 33.49, 32
2 0 -1, 33.80, 38
0 0 2, 34.90, 37
1 -3 0, 51.08, 29

Cell and atoms:
```
data_MgV2Sb2O8
_symmetry_space_group_name_H-M 'P 1'
_symmetry_Int_Tables_number 1
_cell_length_a 5.984
_cell_length_b 6.075
_cell_length_c 6.077
_cell_angle_alpha 112.86
_cell_angle_beta 98.47
_cell_angle_gamma 117.18
loop_
_symmetry_equiv_pos_as_xyz
'x,y,z'
loop_
_atom_site_label
_atom_site_type_symbol
_atom_site_fract_x
_atom_site_fract_y
_atom_site_fract_z
Mg1 Mg 0.000 0.000 0.000
V1 V 0.005 0.008 0.504
V2 V 0.327 0.739 0.070
Sb1 Sb 0.495 0.496 0.499
Sb2 Sb 0.702 0.287 0.950
O1 O 0.058 0.297 0.858
O2 O 0.087 0.279 0.370
O3 O 0.419 0.161 0.161
O4 O 0.439 0.231 0.644
O5 O 0.561 0.759 0.345
O6 O 0.561 0.789 0.859
O7 O 0.904 0.723 0.626
O8 O 0.999 0.736 0.150
```